InMoHSeO7: computed powder diffraction line list (Cu Ka), based on a structure optimized by DFT (PBE+U).
Kinematic intensities with the Lorentz-polarization factor, no thermal factor.

Peak list (10 most intense, 2θ from 10° to 80°, sorted by position)
| d (Å) | 2θ/deg | I (rel.) |
| --- | --- | --- |
| 7.704 | 11.49 | 75 |
| 4.361 | 20.36 | 87 |
| 4.264 | 20.83 | 45 |
| 3.351 | 26.60 | 94 |
| 3.278 | 27.20 | 64 |
| 3.220 | 27.70 | 90 |
| 3.115 | 28.66 | 100 |
| 2.754 | 32.51 | 59 |
| 2.071 | 43.71 | 37 |
| 1.730 | 52.94 | 44 |

Structure:
Cell lengths 10.793, 10.793, 14.125 Å; angles 130.43, 130.43, 30.68 degrees
Positions (direct):
In 0.080 0.383 0.094
In 0.383 0.080 0.594
In 0.617 0.920 0.406
In 0.920 0.617 0.906
Mo 0.037 0.755 0.701
Mo 0.245 0.963 0.799
Mo 0.755 0.037 0.201
Mo 0.963 0.245 0.299
H 0.250 0.702 0.176
H 0.298 0.750 0.324
H 0.702 0.250 0.676
H 0.750 0.298 0.824
Se 0.228 0.531 0.430
Se 0.469 0.772 0.070
Se 0.531 0.228 0.930
Se 0.772 0.469 0.570
O 0.001 0.135 0.151
O 0.003 0.271 0.497
O 0.086 0.288 0.901
O 0.113 0.442 0.281
O 0.135 0.001 0.651
O 0.172 0.828 0.250
O 0.232 0.437 0.661
O 0.271 0.003 0.997
O 0.271 0.483 0.992
O 0.280 0.720 0.750
O 0.288 0.086 0.401
O 0.437 0.232 0.161
O 0.442 0.113 0.781
O 0.483 0.271 0.492
O 0.517 0.729 0.508
O 0.558 0.887 0.219
O 0.563 0.768 0.839
O 0.712 0.914 0.599
O 0.720 0.280 0.250
O 0.729 0.517 0.008
O 0.729 0.997 0.003
O 0.768 0.563 0.339
O 0.828 0.172 0.750
O 0.865 0.999 0.349
O 0.887 0.558 0.719
O 0.914 0.712 0.099
O 0.997 0.729 0.503
O 0.999 0.865 0.849